The following is a computed PXRD pattern of Na3CoBSO7. It was derived from a GGA+U-relaxed structure, using a wavelength of 1.5418 Å.
Neutral-atom scattering factors, no anomalous dispersion.

Crystal structure
```
Na3CoBSO7
1.0
5.2901 0.0000 0.0000
0.0000 6.8427 0.0000
-0.2192 0.0000 8.9792
Na Co B S O
6 2 2 2 14
direct
0.2389 0.0000 0.2604
0.2405 0.4836 0.2595
0.2509 0.2396 0.5655
0.7491 0.7396 0.4345
0.7595 0.9836 0.7405
0.7611 0.5000 0.7396
0.2350 0.7403 0.8348
0.7650 0.2403 0.1652
0.2696 0.7431 0.5644
0.7304 0.2431 0.4356
0.2802 0.2410 0.9208
0.7198 0.7410 0.0792
0.0364 0.7456 0.6358
0.1408 0.2398 0.0629
0.2121 0.0672 0.8279
0.2123 0.4169 0.8300
0.2941 0.7417 0.4141
0.4405 0.7399 0.0442
0.4786 0.7396 0.6649
0.5214 0.2396 0.3351
0.5595 0.2399 0.9558
0.7059 0.2417 0.5859
0.7879 0.5672 0.1721
0.7877 0.9169 0.1700
0.8592 0.7398 0.9371
0.9636 0.2456 0.3642
```

The 10 most intense peaks (10 to 90 degrees two-theta), in order of rising 2θ:
d [Å], 2θ/deg, intensity
5.442, 16.29, 47
4.606, 19.27, 30
4.504, 19.71, 34
3.465, 25.71, 52
3.421, 26.04, 100
3.032, 29.46, 27
2.746, 32.61, 74
2.723, 32.89, 88
2.644, 33.90, 70
1.711, 53.55, 39